[1]
Diffraction record for PmYErIn. The X-ray diffraction stick pattern is theoretical, not measured: it uses a cell relaxed with GGA-PBE and Cu Kα, 1.54184 Å.

Peak list (10 most intense, 2θ = 5–70°, low angle first)
d (Å)  2θ (°)  intensity  h k l
2.816  31.78  100  1 1 1
2.457  36.57  17  0 0 2
2.436  36.89  17  0 2 0
2.423  37.10  16  2 0 0
1.730  52.92  12  0 2 2
1.725  53.08  12  2 0 2
1.479  62.85  14  1 1 3
1.470  63.28  14  1 3 1
1.464  63.56  13  3 1 1
1.408  66.39  12  2 2 2

Cell and atoms:
a b c (Å): 4.8467 4.8726 4.9143
angles (deg): 90.00 90.00 90.00
Space group Pmmm (No. 47)
Unique sites:
Pm 0.0000 0.0000 0.0000 (multiplicity 1)
Y 0.5000 0.0000 0.5000 (multiplicity 1)
Er 0.5000 0.5000 0.0000 (multiplicity 1)
In 0.0000 0.5000 0.5000 (multiplicity 1)


[2]
Diffraction record for Pr4Er3In2. The X-ray diffraction stick pattern is theoretical, not measured: it uses a cell relaxed with GGA-PBE and Cu Kα, 1.54184 Å.

Peak list (10 most intense, 2θ = 5–70°, low angle first)
d (Å)  2θ (°)  intensity  h k l
2.847  31.43  100  1 1 -2
2.829  31.63  89  1 1 1
2.801  31.95  43  0 0 3
2.719  32.94  47  2 -1 0
2.067  43.80  16  0 3 -1
1.951  46.55  30  2 -1 3
1.645  55.88  17  2 2 -1
1.629  56.48  15  1 1 -5
1.593  57.88  20  3 0 -2
1.590  58.00  16  3 0 1

Cell and atoms:
a b c (Å): 5.4378 6.7700 8.6729
angles (deg): 103.05 90.07 113.66
Space group P-1 (No. 2)
Unique sites:
Pr 0.1138 0.2272 0.1571 (multiplicity 2)
Pr 0.3319 0.6640 0.5344 (multiplicity 2)
Er 0.0000 0.0000 0.5000 (multiplicity 1)
Er 0.4176 0.8340 0.1417 (multiplicity 2)
In 0.2031 0.4079 0.8160 (multiplicity 2)


[3]
Diffraction record for Pr6Er2In. The X-ray diffraction stick pattern is theoretical, not measured: it uses a cell relaxed with GGA-PBE and Cu Kα, 1.54184 Å.

Peak list (10 most intense, 2θ = 5–70°, low angle first)
d (Å)  2θ (°)  intensity  h k l
4.552  19.50  1  1 0 1
2.948  30.32  100  3 0 1
2.579  34.78  34  3 3 0
2.503  35.88  16  0 0 2
2.005  45.22  1  4 3 1
1.824  50.01  12  6 0 0
1.796  50.83  23  3 3 2
1.551  59.61  28  6 3 1
1.517  61.08  14  3 0 3
1.474  63.07  12  6 0 2

Cell and atoms:
a b c (Å): 10.9438 10.9438 5.0052
angles (deg): 90.00 90.00 90.00
Space group P4_2/mnm (No. 136)
Unique sites:
Pr 0.0068 0.3317 0.0000 (multiplicity 8)
Pr 0.1565 0.1565 0.5000 (multiplicity 4)
Er 0.1627 0.8373 0.5000 (multiplicity 4)
In 0.0000 0.0000 0.0000 (multiplicity 2)